Starting from a crystal structure in Alexandria, relaxed with GGA-PBE, the X-ray powder pattern of TiV3P was calculated for copper Kα.

Cell and atoms:
Cell lengths 8.1466, 3.2064, 10.7582 Å; angles 90.00, 90.00, 90.00 degrees
Space group Pnma (No. 62)
Symmetry-distinct sites (fractional):
Ti: 0.1599 0.2500 0.0120 [4 per cell]
V: 0.0545 0.2500 0.4146 [4 per cell]
V: 0.0876 0.7500 0.2284 [4 per cell]
V: 0.1595 0.7500 0.7911 [4 per cell]
P: 0.1532 0.2500 0.6269 [4 per cell]

Main lines, sorted by position (2θ = 10–90°):
d/Å  intensity
2.633  15
2.294  50
2.282  100
2.080  32
2.062  22
2.036  17
2.001  25
1.934  20
1.603  20
1.270  12